Computed XRD peak list
Compound: LaIn2Au
Radiation: Cu Kα (λ = 1.5418 Å)
Structure: a structure optimized by DFT (GGA-PBE)
No peak broadening, texture or thermal motion is included.

Structure:
```
data_LaIn2Au
_chemical_formula_sum 'La2 In4 Au2'
_cell_length_a 4.3958
_cell_length_b 4.3958
_cell_length_c 11.3073
_cell_angle_alpha 90.00
_cell_angle_beta 90.00
_cell_angle_gamma 90.00
_space_group_name_H-M_alt 'I 4/m m m'
_space_group_IT_number 139
_space_group_name_Hall '-I 4 2'
loop_
_atom_site_label
_atom_site_type_symbol
_atom_site_fract_x
_atom_site_fract_y
_atom_site_fract_z
La1 La 0.0000 0.0000 0.0000
In1 In 0.0000 0.5000 0.2500
Au1 Au 0.0000 0.0000 0.5000
```

Peak list (8 most intense, 15° ≤ 2θ ≤ 90°, sorted by position)
two_theta	Rel. int.
31.65	276
32.88	1000
41.07	272
52.76	260
57.16	204
68.95	116
69.66	224
87.12	128